Record 1
TaReSi: computed powder diffraction line list (CuKα), based on a structure optimized by DFT (GGA-PBE).

Top 8 peaks for 10 to 90 degrees two-theta, in order of rising 2θ:
26.65 deg, rel. 17, hkl 0 3 1
29.70 deg, rel. 20, hkl 2 2 0
37.06 deg, rel. 100, hkl 2 3 1
40.30 deg, rel. 52, hkl 2 2 2
41.07 deg, rel. 25, hkl 0 1 3
41.22 deg, rel. 41, hkl 0 4 2
51.99 deg, rel. 14, hkl 4 0 0
68.34 deg, rel. 14, hkl 4 1 3

```
data_TaReSi
_chemical_formula_sum 'Ta12 Re12 Si12'
_space_group_name_H-M_alt 'I m a 2'
_space_group_IT_number 46
_space_group_name_Hall 'I 2 -2a'
_cell_length_a 7.035
_cell_length_b 11.573
_cell_length_c 6.716
_cell_angle_alpha 90.00
_cell_angle_beta 90.00
_cell_angle_gamma 90.00
loop_
_atom_site_label
_atom_site_fract_x
_atom_site_fract_y
_atom_site_fract_z
_atom_site_occupancy
Ta1 0.250 0.003 0.000 1
Ta2 0.250 0.216 0.624 1
Ta3 0.250 0.695 0.117 1
Re1 0.000 0.000 0.662 1
Re2 0.035 0.627 0.785 1
Si1 0.005 0.667 0.413 1
Si2 0.250 0.028 0.398 1
```

Record 2
LuGaNi2: computed powder diffraction line list (CuKα), based on a structure optimized by DFT (GGA-PBE).

Top 8 peaks for 10 to 90 degrees two-theta, in order of rising 2θ:
24.91 deg, rel. 17, hkl 1 1 1
28.84 deg, rel. 12, hkl 2 0 0
41.24 deg, rel. 100, hkl 2 2 0
48.79 deg, rel. 9, hkl 3 1 1
59.75 deg, rel. 16, hkl 4 0 0
67.68 deg, rel. 5, hkl 4 2 0
75.18 deg, rel. 32, hkl 4 2 2
89.56 deg, rel. 11, hkl 4 4 0

```
data_LuGaNi2
_chemical_formula_sum 'Lu4 Ga4 Ni8'
_space_group_name_H-M_alt 'F m -3 m'
_space_group_IT_number 225
_space_group_name_Hall '-F 4 2 3'
_cell_length_a 6.191
_cell_length_b 6.191
_cell_length_c 6.191
_cell_angle_alpha 90.00
_cell_angle_beta 90.00
_cell_angle_gamma 90.00
loop_
_atom_site_label
_atom_site_fract_x
_atom_site_fract_y
_atom_site_fract_z
_atom_site_occupancy
Lu1 0.000 0.000 0.000 1
Ga1 0.000 0.000 0.500 1
Ni1 0.250 0.250 0.250 1
```

Record 3
Ba3BiAs: computed powder diffraction line list (CuKα), based on a structure optimized by DFT (GGA-PBE).

Top 8 peaks for 10 to 90 degrees two-theta, in order of rising 2θ:
13.46 deg, rel. 72, hkl 1 0 0
23.43 deg, rel. 30, hkl 1 1 1
27.11 deg, rel. 100, hkl 2 0 0
30.39 deg, rel. 44, hkl 2 1 0
38.72 deg, rel. 78, hkl 2 2 0
47.91 deg, rel. 28, hkl 2 2 2
63.22 deg, rel. 37, hkl 4 2 0
70.09 deg, rel. 28, hkl 4 2 2

```
data_Ba3BiAs
_chemical_formula_sum 'Ba3 Bi1 As1'
_space_group_name_H-M_alt 'P m -3 m'
_space_group_IT_number 221
_space_group_name_Hall '-P 4 2 3'
_cell_length_a 6.577
_cell_length_b 6.577
_cell_length_c 6.577
_cell_angle_alpha 90.00
_cell_angle_beta 90.00
_cell_angle_gamma 90.00
loop_
_atom_site_label
_atom_site_fract_x
_atom_site_fract_y
_atom_site_fract_z
_atom_site_occupancy
Ba1 0.000 0.000 0.500 1
Bi1 0.000 0.000 0.000 1
As1 0.500 0.500 0.500 1
```